Calculated powder XRD pattern of MnSn4H24C8Se10N2 for Cu Kα (weighted mean of Kα1 and Kα2), from a cell relaxed with PBE.
Lines closer than 0.1° are merged.

Most intense lines, 5° ≤ 2θ ≤ 70°, in order of rising 2θ:
d (Å)  two_theta  intensity  hkl
8.720  10.14  100  1 0 1
5.430  16.32  33  1 1 2
4.449  19.96  17  2 1 1
4.360  20.37  16  2 0 2
3.514  25.35  72  2 1 3
2.313  38.93  16  4 2 0
2.083  43.45  26  1 3 6
1.932  47.03  17  5 0 3

Cell and atoms:
```
data_MnSn4H24C8Se10N2
_symmetry_space_group_name_H-M 'I -4'
_symmetry_Int_Tables_number 82
_cell_length_a 10.345
_cell_length_b 10.345
_cell_length_c 16.207
_cell_angle_alpha 90.00
_cell_angle_beta 90.00
_cell_angle_gamma 90.00
loop_
_symmetry_equiv_pos_as_xyz
'x,y,z'
'y,-x,-z'
'-x,-y,z'
'-y,x,-z'
'x+1/2,y+1/2,z+1/2'
'y+1/2,-x+1/2,-z+1/2'
'-x+1/2,-y+1/2,z+1/2'
'-y+1/2,x+1/2,-z+1/2'
loop_
_atom_site_label
_atom_site_type_symbol
_atom_site_fract_x
_atom_site_fract_y
_atom_site_fract_z
_atom_site_occupancy
Mn1 Mn 0.000 0.000 0.000 1
Sn1 Sn 0.077 0.316 0.841 1
H1 H 0.018 0.144 0.409 1
H2 H 0.051 0.366 0.342 1
H3 H 0.058 0.133 0.592 1
H4 H 0.059 0.695 0.264 1
H5 H 0.085 0.384 0.158 1
H6 H 0.102 0.823 0.487 1
C1 C 0.034 0.613 0.304 1
C2 C 0.059 0.897 0.447 1
Se1 Se 0.000 0.500 0.563 1
Se2 Se 0.109 0.770 0.750 1
Se3 Se 0.136 0.829 0.074 1
N1 N 0.000 0.000 0.500 1
N2 N 0.000 0.500 0.250 1
```

=====

Calculated powder XRD pattern of Mo3H20C8S13N2 for Cu Kα (weighted mean of Kα1 and Kα2), from a cell relaxed with PBE.
Lines closer than 0.1° are merged.

Most intense lines, 5° ≤ 2θ ≤ 70°, in order of rising 2θ:
d (Å)  two_theta  intensity  hkl
10.011  8.83  100  0 2 0
5.958  14.87  14  0 0 1
5.780  15.33  11  2 0 0
5.120  17.32  41  0 2 1
2.601  34.49  8  2 6 1
2.519  35.65  5  1 7 1
2.144  42.15  10  2 8 1
1.821  50.09  7  3 7 -2

Cell and atoms:
```
data_Mo3H20C8S13N2
_symmetry_space_group_name_H-M 'C 1 m 1'
_symmetry_Int_Tables_number 8
_cell_length_a 11.540
_cell_length_b 20.055
_cell_length_c 5.959
_cell_angle_alpha 90.00
_cell_angle_beta 90.25
_cell_angle_gamma 90.00
loop_
_symmetry_equiv_pos_as_xyz
'x,y,z'
'x,-y,z'
'x+1/2,y+1/2,z'
'x+1/2,-y+1/2,z'
loop_
_atom_site_label
_atom_site_type_symbol
_atom_site_fract_x
_atom_site_fract_y
_atom_site_fract_z
_atom_site_occupancy
Mo1 Mo 0.000 0.000 0.000 1
Mo2 Mo 0.293 0.431 0.000 1
H1 H 0.008 0.395 0.473 1
H2 H 0.015 0.276 0.460 1
H3 H 0.193 0.125 0.478 1
H4 H 0.198 0.214 0.466 1
H5 H 0.241 0.172 0.721 1
H6 H 0.371 0.061 0.456 1
H7 H 0.382 0.272 0.469 1
H8 H 0.413 0.102 0.713 1
H9 H 0.429 0.226 0.713 1
H10 H 0.453 0.164 0.158 1
C1 C 0.238 0.170 0.537 1
C2 C 0.358 0.167 0.194 1
C3 C 0.418 0.104 0.529 1
C4 C 0.427 0.227 0.529 1
S1 S 0.110 0.500 0.020 1
S2 S 0.169 0.000 0.247 1
S3 S 0.188 0.327 0.915 1
S4 S 0.195 0.500 0.721 1
S5 S 0.210 0.000 0.917 1
S6 S 0.211 0.347 0.247 1
S7 S 0.362 0.500 0.297 1
S8 S 0.445 0.417 0.721 1
S9 S 0.487 0.375 0.021 1
N1 N 0.360 0.167 0.447 1
```